For HoTmNiGe2, a GGA-PBE-relaxed structure gives the calculated PXRD pattern in this record (copper Kα).
Kinematic intensities with the Lorentz-polarization factor, no thermal factor.

Top 10 peaks for 10 to 80 degrees two-theta, low angle first:
(1 1 2), d = 2.662 Å, rel. 442; (3 1 -1), d = 2.643 Å, rel. 613; (1 1 -3), d = 2.611 Å, rel. 1000; (4 0 -2), d = 2.574 Å, rel. 348; (3 1 -3), d = 2.393 Å, rel. 381; (0 0 4), d = 2.243 Å, rel. 245; (3 1 1), d = 2.176 Å, rel. 509; (0 2 0), d = 2.097 Å, rel. 518; (4 2 -2), d = 1.626 Å, rel. 293; (7 1 -3), d = 1.389 Å, rel. 218

```
data_HoTmNiGe2
_chemical_formula_sum 'Ho4 Tm4 Ni4 Ge8'
_cell_length_a 10.308
_cell_length_b 4.195
_cell_length_c 10.127
_cell_angle_alpha 90.00
_cell_angle_beta 117.63
_cell_angle_gamma 90.00
_symmetry_space_group_name_H-M 'C 1 2/m 1'
_symmetry_Int_Tables_number 12
loop_
_symmetry_equiv_pos_as_xyz
'x,y,z'
'-x,-y,-z'
'-x,y,-z'
'x,-y,z'
'x+1/2,y+1/2,z'
'-x+1/2,-y+1/2,-z'
'-x+1/2,y+1/2,-z'
'x+1/2,-y+1/2,z'
loop_
_atom_site_label
_atom_site_fract_x
_atom_site_fract_y
_atom_site_fract_z
_atom_site_occupancy
Ho1 0.187 0.000 0.111 1
Tm1 0.007 0.000 0.333 1
Ni1 0.223 0.500 0.348 1
Ge1 0.018 0.500 0.877 1
Ge2 0.153 0.500 0.563 1
```

---

For DyHIBr, a GGA-PBE-relaxed structure gives the calculated PXRD pattern in this record (copper Kα).
Kinematic intensities with the Lorentz-polarization factor, no thermal factor.

Top 10 peaks for 10 to 80 degrees two-theta, low angle first:
(0 0 2), d = 7.762 Å, rel. 774; (1 0 1), d = 3.312 Å, rel. 456; (1 0 2), d = 3.107 Å, rel. 742; (0 1 3), d = 2.836 Å, rel. 401; (0 1 4), d = 2.553 Å, rel. 1000; (0 1 6), d = 2.057 Å, rel. 154; (1 1 0), d = 1.958 Å, rel. 454; (2 0 4), d = 1.553 Å, rel. 221; (1 1 8), d = 1.378 Å, rel. 263; (1 2 4), d = 1.217 Å, rel. 206

```
data_DyHIBr
_chemical_formula_sum 'Dy2 H2 I2 Br2'
_cell_length_a 3.9150
_cell_length_b 3.9150
_cell_length_c 15.5231
_cell_angle_alpha 90.00
_cell_angle_beta 90.00
_cell_angle_gamma 120.00
_symmetry_space_group_name_H-M 'P -3 m 1'
_symmetry_Int_Tables_number 164
_symmetry_space_group_name_Hall '-P 3 2"'
loop_
_atom_site_label
_atom_site_fract_x
_atom_site_fract_y
_atom_site_fract_z
_atom_site_occupancy
Dy1 0.0000 0.0000 0.2443 1
H1 0.3333 0.6667 0.2476 1
I1 0.3333 0.6667 0.6177 1
Br1 0.3333 0.6667 0.8769 1
```

---

For HfBi2Pd, a GGA-PBE-relaxed structure gives the calculated PXRD pattern in this record (copper Kα).
Kinematic intensities with the Lorentz-polarization factor, no thermal factor.

Top 10 peaks for 10 to 80 degrees two-theta, low angle first:
(1 1 1), d = 4.184 Å, rel. 47; (2 0 0), d = 3.623 Å, rel. 11; (2 2 0), d = 2.562 Å, rel. 1000; (3 1 1), d = 2.185 Å, rel. 29; (4 0 0), d = 1.812 Å, rel. 181; (3 3 1), d = 1.662 Å, rel. 13; (4 2 2), d = 1.479 Å, rel. 377; (5 1 1), d = 1.395 Å, rel. 10; (4 4 0), d = 1.281 Å, rel. 118; (5 3 1), d = 1.225 Å, rel. 11

```
data_HfBi2Pd
_chemical_formula_sum 'Hf4 Bi8 Pd4'
_cell_length_a 7.246
_cell_length_b 7.246
_cell_length_c 7.246
_cell_angle_alpha 90.00
_cell_angle_beta 90.00
_cell_angle_gamma 90.00
_symmetry_space_group_name_H-M 'F -4 3 m'
_symmetry_Int_Tables_number 216
_symmetry_space_group_name_Hall 'F -4 2 3'
loop_
_atom_site_label
_atom_site_fract_x
_atom_site_fract_y
_atom_site_fract_z
_atom_site_occupancy
Hf1 0.000 0.000 0.000 1
Bi1 0.000 0.000 0.500 1
Bi2 0.250 0.250 0.250 1
Pd1 0.250 0.250 0.750 1
```

---

For Ba2HoS3, a GGA-PBE-relaxed structure gives the calculated PXRD pattern in this record (copper Kα).
Kinematic intensities with the Lorentz-polarization factor, no thermal factor.

Top 10 peaks for 10 to 80 degrees two-theta, low angle first:
(0 0 3), d = 3.619 Å, rel. 209; (1 0 1), d = 3.474 Å, rel. 541; (0 1 2), d = 3.039 Å, rel. 1000; (1 0 4), d = 2.182 Å, rel. 348; (1 1 0), d = 2.117 Å, rel. 361; (1 1 3), d = 1.827 Å, rel. 195; (0 0 6), d = 1.809 Å, rel. 146; (2 0 2), d = 1.737 Å, rel. 188; (1 1 6), d = 1.375 Å, rel. 209; (1 2 2), d = 1.343 Å, rel. 160

```
data_Ba2HoS3
_chemical_formula_sum 'Ba2 Ho1 S3'
_cell_length_a 4.2342
_cell_length_b 4.2342
_cell_length_c 10.8580
_cell_angle_alpha 90.00
_cell_angle_beta 90.00
_cell_angle_gamma 120.00
_symmetry_space_group_name_H-M 'P -3 m 1'
_symmetry_Int_Tables_number 164
_symmetry_space_group_name_Hall '-P 3 2"'
loop_
_atom_site_label
_atom_site_fract_x
_atom_site_fract_y
_atom_site_fract_z
_atom_site_occupancy
Ba1 0.3333 0.6667 0.1778 1
Ho1 0.0000 0.0000 0.5000 1
S1 0.0000 0.0000 0.0000 1
S2 0.3333 0.6667 0.6319 1
```

---

For Gd3Ni8Sn4, a GGA-PBE-relaxed structure gives the calculated PXRD pattern in this record (copper Kα).
Kinematic intensities with the Lorentz-polarization factor, no thermal factor.

Top 10 peaks for 10 to 80 degrees two-theta, low angle first:
(2 0 1), d = 3.429 Å, rel. 182; (2 1 1), d = 2.716 Å, rel. 319; (2 0 2), d = 2.689 Å, rel. 966; (3 0 1), d = 2.431 Å, rel. 431; (1 0 3), d = 2.380 Å, rel. 346; (2 1 2), d = 2.301 Å, rel. 250; (2 2 0), d = 2.225 Å, rel. 1000; (3 0 2), d = 2.120 Å, rel. 180; (2 0 3), d = 2.099 Å, rel. 257; (3 2 3), d = 1.444 Å, rel. 340

```
data_Gd3Ni8Sn4
_chemical_formula_sum 'Gd6 Ni16 Sn8'
_cell_length_a 8.9008
_cell_length_b 8.9008
_cell_length_c 7.5058
_cell_angle_alpha 90.00
_cell_angle_beta 90.00
_cell_angle_gamma 120.00
_symmetry_space_group_name_H-M 'P 63 m c'
_symmetry_Int_Tables_number 186
_symmetry_space_group_name_Hall 'P 6c -2c'
loop_
_atom_site_label
_atom_site_fract_x
_atom_site_fract_y
_atom_site_fract_z
_atom_site_occupancy
Gd1 0.0551 0.5275 0.0000 1
Ni1 0.0000 0.0000 0.2818 1
Ni2 0.1052 0.2105 0.0245 1
Ni3 0.1647 0.3294 0.3387 1
Ni4 0.3333 0.6667 0.6901 1
Sn1 0.1671 0.3342 0.7042 1
Sn2 0.3333 0.6667 0.3184 1
```

---

For Sr2ZnTe2F2, a GGA-PBE-relaxed structure gives the calculated PXRD pattern in this record (copper Kα).
Kinematic intensities with the Lorentz-polarization factor, no thermal factor.

Top 10 peaks for 10 to 80 degrees two-theta, low angle first:
(1 0 1), d = 3.848 Å, rel. 134; (1 0 2), d = 3.133 Å, rel. 1000; (1 1 0), d = 2.985 Å, rel. 294; (1 1 2), d = 2.516 Å, rel. 335; (2 0 0), d = 2.111 Å, rel. 321; (1 0 4), d = 2.045 Å, rel. 219; (1 1 4), d = 1.841 Å, rel. 176; (2 1 2), d = 1.751 Å, rel. 365; (2 2 0), d = 1.493 Å, rel. 102; (2 1 4), d = 1.469 Å, rel. 149

```
data_Sr2ZnTe2F2
_chemical_formula_sum 'Sr2 Zn1 Te2 F2'
_cell_length_a 4.222
_cell_length_b 4.222
_cell_length_c 9.351
_cell_angle_alpha 90.00
_cell_angle_beta 90.00
_cell_angle_gamma 90.00
_symmetry_space_group_name_H-M 'P -4 m 2'
_symmetry_Int_Tables_number 115
loop_
_symmetry_equiv_pos_as_xyz
'x,y,z'
'y,-x,-z'
'-x,-y,z'
'-y,x,-z'
'-x,y,z'
'-y,-x,-z'
'x,-y,z'
'y,x,-z'
loop_
_atom_site_label
_atom_site_fract_x
_atom_site_fract_y
_atom_site_fract_z
_atom_site_occupancy
Sr1 0.000 0.500 0.146 1
Zn1 0.500 0.500 0.500 1
Te1 0.000 0.500 0.673 1
F1 0.000 0.000 0.000 1
F2 0.500 0.500 0.000 1
```

---

For DyErAs2Pt2, a GGA-PBE-relaxed structure gives the calculated PXRD pattern in this record (copper Kα).
Kinematic intensities with the Lorentz-polarization factor, no thermal factor.

Top 10 peaks for 10 to 80 degrees two-theta, low angle first:
(1 0 1), d = 3.610 Å, rel. 164; (1 0 4), d = 2.650 Å, rel. 1000; (1 0 5), d = 2.346 Å, rel. 117; (1 1 0), d = 2.146 Å, rel. 596; (0 0 8), d = 1.890 Å, rel. 114; (2 0 4), d = 1.668 Å, rel. 251; (1 0 9), d = 1.531 Å, rel. 50; (1 1 8), d = 1.418 Å, rel. 270; (2 1 4), d = 1.317 Å, rel. 229; (3 0 0), d = 1.239 Å, rel. 103

```
data_DyErAs2Pt2
_chemical_formula_sum 'Dy2 Er2 As4 Pt4'
_cell_length_a 4.2920
_cell_length_b 4.2920
_cell_length_c 15.1190
_cell_angle_alpha 90.00
_cell_angle_beta 90.00
_cell_angle_gamma 120.00
_symmetry_space_group_name_H-M 'P 63/m m c'
_symmetry_Int_Tables_number 194
_symmetry_space_group_name_Hall '-P 6c 2c'
loop_
_atom_site_label
_atom_site_fract_x
_atom_site_fract_y
_atom_site_fract_z
_atom_site_occupancy
Dy1 0.0000 0.0000 0.2500 1
Er1 0.0000 0.0000 0.0000 1
As1 0.3333 0.6667 0.1146 1
Pt1 0.3333 0.6667 0.6351 1
```

---

For La3Ga2Ni2, a GGA-PBE-relaxed structure gives the calculated PXRD pattern in this record (copper Kα).
Kinematic intensities with the Lorentz-polarization factor, no thermal factor.

Top 10 peaks for 10 to 80 degrees two-theta, low angle first:
(1 1 3), d = 3.222 Å, rel. 327; (0 2 3), d = 3.023 Å, rel. 532; (2 1 0), d = 2.718 Å, rel. 683; (1 1 4), d = 2.707 Å, rel. 630; (1 2 3), d = 2.676 Å, rel. 473; (0 2 4), d = 2.585 Å, rel. 445; (1 3 0), d = 2.498 Å, rel. 1000; (2 1 3), d = 2.312 Å, rel. 927; (0 0 6), d = 2.200 Å, rel. 368; (1 3 6), d = 1.651 Å, rel. 330

```
data_La3Ga2Ni2
_chemical_formula_sum 'La12 Ga8 Ni8'
_cell_length_a 5.751
_cell_length_b 8.319
_cell_length_c 13.202
_cell_angle_alpha 90.00
_cell_angle_beta 90.00
_cell_angle_gamma 90.00
_symmetry_space_group_name_H-M 'P b c m'
_symmetry_Int_Tables_number 57
loop_
_symmetry_equiv_pos_as_xyz
'x,y,z'
'-x,-y,-z'
'-x,-y,z+1/2'
'x,y,-z+1/2'
'x,-y+1/2,-z'
'-x,y+1/2,z'
'-x,y+1/2,-z+1/2'
'x,-y+1/2,z+1/2'
loop_
_atom_site_label
_atom_site_fract_x
_atom_site_fract_y
_atom_site_fract_z
_atom_site_occupancy
La1 0.155 0.104 0.096 1
La2 0.342 0.748 0.750 1
Ga1 0.169 0.101 0.750 1
Ga2 0.356 0.750 0.000 1
Ni1 0.387 0.033 0.588 1
```